No. 1
Mg2Ga2Tc3: simulated X-ray diffraction stick pattern (a wavelength of 1.5418 Å), based on a GGA-PBE-relaxed structure.

Structure:
a = 2.863 Å, b = 28.494 Å, c = 2.876 Å
α = 90.00°, β = 90.00°, γ = 90.00°
Space group Cmmm (No. 65)
Unique sites:
Mg (0.000, 0.202, 0.000)
Ga (0.000, 0.374, 0.500)
Tc (0.000, 0.062, 0.000)
Tc (0.000, 0.500, 0.500)

Peak list (10 most intense, 2θ from 10° to 90°, by angle)
hkl 0 6 1, 2θ 36.5, I 27; hkl 1 7 0, 2θ 38.4, I 83; hkl 0 8 1, 2θ 40.3, I 89; hkl 1 9 0, 2θ 42.6, I 43; hkl 1 1 1, 2θ 44.8, I 100; hkl 0 16 0, 2θ 51.3, I 19; hkl 2 0 0, 2θ 65.2, I 14; hkl 1 15 1, 2θ 67.6, I 32; hkl 1 7 2, 2θ 78.0, I 20; hkl 2 8 1, 2θ 79.5, I 24

***

No. 2
MgGa7Tc2: simulated X-ray diffraction stick pattern (a wavelength of 1.5418 Å), based on a GGA-PBE-relaxed structure.

Structure:
a = 7.214 Å, b = 12.087 Å, c = 4.864 Å
α = 90.00°, β = 90.00°, γ = 90.00°
Space group Cmmm (No. 65)
Unique sites:
Mg (0.000, 0.000, 0.000)
Ga (0.000, 0.300, 0.000)
Ga (0.000, 0.500, 0.500)
Ga (0.189, 0.111, 0.500)
Tc (0.000, 0.288, 0.500)

Peak list (10 most intense, 2θ from 10° to 90°, by angle)
hkl 0 0 1, 2θ 18.2, I 100; hkl 2 2 0, 2θ 28.8, I 23; hkl 0 0 2, 2θ 37.0, I 58; hkl 3 1 0, 2θ 38.2, I 23; hkl 2 4 0, 2θ 38.9, I 39; hkl 1 5 0, 2θ 39.3, I 42; hkl 3 1 1, 2θ 42.6, I 27; hkl 2 4 1, 2θ 43.3, I 27; hkl 2 4 2, 2θ 54.7, I 33; hkl 1 5 2, 2θ 55.1, I 31

***

No. 3
MgUGaTc: simulated X-ray diffraction stick pattern (a wavelength of 1.5418 Å), based on a GGA-PBE-relaxed structure.

Structure:
a = 6.680 Å, b = 6.680 Å, c = 6.680 Å
α = 90.00°, β = 90.00°, γ = 90.00°
Space group F-43m (No. 216)
Unique sites:
Mg (0.000, 0.000, 0.000)
U (0.000, 0.000, 0.500)
Ga (0.250, 0.250, 0.750)
Tc (0.250, 0.250, 0.250)

Peak list (10 most intense, 2θ from 10° to 90°, by angle)
hkl 1 1 1, 2θ 23.1, I 53; hkl 2 0 0, 2θ 26.7, I 4; hkl 2 2 0, 2θ 38.1, I 100; hkl 3 1 1, 2θ 45.0, I 29; hkl 4 0 0, 2θ 55.0, I 17; hkl 3 3 1, 2θ 60.4, I 13; hkl 4 2 2, 2θ 68.9, I 36; hkl 5 1 1, 2θ 73.7, I 10; hkl 4 4 0, 2θ 81.5, I 11; hkl 5 3 1, 2θ 86.1, I 10